# 1
Structure and theoretical X-ray powder pattern of La3DyEr2 (a PBE-relaxed structure; Cu Kα (λ = 1.5418 Å)).
Lines closer than 0.1° are merged.

Most intense lines, 10 to 80 degrees two-theta, in order of falling intensity:
index	2θ/deg	intensity
2 3 1	32.03	100
0 2 2	29.15	55
0 6 0	30.45	54
0 4 2	34.17	50
2 4 0	31.92	45
2 1 1	28.55	41
2 2 2	38.39	37
2 8 2	56.39	31
2 3 3	51.31	25
4 4 2	62.11	18

Structure:
Cell: 7.272 17.615 6.535 Å, 90.00 90.00 90.00°
Space group Imma (No. 74)
Symmetry-distinct sites (fractional):
La1 0.000 0.070 0.241 x8
La2 0.000 0.250 0.470 x4
Dy1 0.000 0.250 0.970 x4
Er1 0.250 0.106 0.750 x8


# 2
Structure and theoretical X-ray powder pattern of LaDy4Er (a PBE-relaxed structure; Cu Kα (λ = 1.5418 Å)).
Lines closer than 0.1° are merged.

Most intense lines, 10 to 80 degrees two-theta, in order of falling intensity:
index	2θ/deg	intensity
3 1 -2	35.25	100
2 0 2	30.73	93
2 0 -4	31.02	52
1 1 0	27.47	46
1 1 -4	41.91	30
2 2 2	62.93	24
5 1 -6	57.95	24
5 1 0	52.55	22
0 0 6	55.00	18
1 1 -2	30.33	14

Structure:
Cell: 11.640 3.429 11.532 Å, 90.00 119.73 90.00°
Space group C2/m (No. 12)
Symmetry-distinct sites (fractional):
La1 0.000 0.000 0.000 x2
Dy1 0.188 0.000 0.841 x4
Dy2 0.194 0.000 0.348 x4
Er1 0.000 0.000 0.500 x2


Question: What is the formula in the second record?
Answer: LaDy4Er